[1]
The following is a computed powder diffractogram of Ba4Zr3S10. It was derived from a structure optimized by DFT (GGA-PBE), using Cu Ka.
Lines closer than 0.1° are merged.

Largest 12 diffraction maxima, most intense first, 10 to 90 degrees two-theta:
2θ 24.80, rel. 100, hkl 1 0 7; 2θ 24.99, rel. 71, hkl 1 1 0; 2θ 35.64, rel. 68, hkl 2 0 0; 2θ 43.91, rel. 44, hkl 2 1 7; 2θ 32.11, rel. 36, hkl 1 1 8; 2θ 50.87, rel. 30, hkl 2 0 14; 2θ 57.84, rel. 24, hkl 3 1 0; 2θ 35.08, rel. 23, hkl 0 0 14; 2θ 51.29, rel. 22, hkl 2 2 0; 2θ 43.55, rel. 17, hkl 1 1 14; 2θ 63.65, rel. 15, hkl 2 2 14; 2θ 86.36, rel. 12, hkl 4 2 0

Structure:
a = 5.038 Å, b = 5.038 Å, c = 35.817 Å
α = 90.00°, β = 90.00°, γ = 90.00°
Space group I4/mmm (No. 139)
Unique sites:
Ba: 0.000 0.000 0.067
Ba: 0.000 0.000 0.200
Zr: 0.000 0.000 0.357
Zr: 0.000 0.000 0.500
S: 0.000 0.000 0.287
S: 0.000 0.000 0.429
S: 0.000 0.500 0.000
S: 0.000 0.500 0.139

***

[2]
The following is a computed powder diffractogram of Ba3Zr2S7. It was derived from a structure optimized by DFT (GGA-PBE), using Cu Ka.
Lines closer than 0.1° are merged.

Largest 12 diffraction maxima, most intense first, 10 to 90 degrees two-theta:
2θ 24.84, rel. 100, hkl 2 0 0; 2θ 35.49, rel. 36, hkl 2 2 0; 2θ 43.78, rel. 27, hkl 3 1 5; 2θ 32.73, rel. 19, hkl 2 0 6; 2θ 50.86, rel. 14, hkl 2 2 10; 2θ 57.60, rel. 13, hkl 4 2 0; 2θ 35.22, rel. 11, hkl 0 0 10; 2θ 51.06, rel. 11, hkl 4 0 0; 2θ 43.61, rel. 11, hkl 2 0 10; 2θ 69.48, rel. 7, hkl 5 1 5; 2θ 63.55, rel. 7, hkl 4 0 10; 2θ 36.36, rel. 6, hkl 1 1 9

Structure:
a = 7.154 Å, b = 7.154 Å, c = 25.481 Å
α = 90.00°, β = 90.00°, γ = 90.00°
Space group P4_2/mnm (No. 136)
Unique sites:
Ba: 0.235 0.235 0.181
Ba: 0.245 0.755 0.500
Zr: 0.249 0.249 0.400
S: 0.000 0.000 0.082
S: 0.000 0.000 0.387
S: 0.000 0.500 0.096
S: 0.207 0.207 0.500
S: 0.214 0.786 0.198